# 1
Starting from a cell relaxed with PBE, the XRD peak list of Pm2Sb4Au was computed for Cu Kα.

Unit cell a=4.4721 b=4.4721 c=9.7632 alpha=90.00 beta=90.00 gamma=90.00
Fractional positions:
Pm  0.0000  0.5000  0.2438
Pm  0.5000  0.0000  0.7562
Sb  0.0000  0.0000  0.5000
Sb  0.0000  0.5000  0.8382
Sb  0.5000  0.0000  0.1618
Sb  0.5000  0.5000  0.5000
Au  0.5000  0.5000  0.0000

Most intense lines, 2θ = 10–90°, in order of rising 2θ:
- 4.066 Å, 21.86 deg, I 19
- 3.298 Å, 27.04 deg, I 19
- 2.654 Å, 33.77 deg, I 100
- 2.631 Å, 34.07 deg, I 19
- 2.236 Å, 40.34 deg, I 41
- 1.789 Å, 51.04 deg, I 13
- 1.649 Å, 55.75 deg, I 12
- 1.581 Å, 58.36 deg, I 14
- 1.397 Å, 66.98 deg, I 12
- 1.358 Å, 69.16 deg, I 25

# 2
Starting from a cell relaxed with PBE, the XRD peak list of Pm2SbAu3 was computed for Cu Kα.

Unit cell a=9.5267 b=9.0094 c=6.0440 alpha=75.68 beta=66.39 gamma=37.93
Fractional positions:
Pm  0.2369  0.7631  0.7631
Pm  0.2500  0.2500  0.2500
Pm  0.7500  0.7500  0.7500
Pm  0.7631  0.2369  0.2369
Sb  0.3348  0.3348  0.6652
Sb  0.6652  0.6652  0.3348
Au  0.1655  0.1655  0.8345
Au  0.1666  0.6665  0.3335
Au  0.3335  0.8334  0.1666
Au  0.6665  0.1666  0.8334
Au  0.8334  0.3335  0.6665
Au  0.8345  0.8345  0.1655

Most intense lines, 2θ = 10–90°, in order of rising 2θ:
- 3.670 Å, 24.25 deg, I 22
- 2.748 Å, 32.58 deg, I 100
- 2.739 Å, 32.70 deg, I 52
- 2.401 Å, 37.46 deg, I 42
- 2.382 Å, 37.77 deg, I 82
- 1.998 Å, 45.40 deg, I 17
- 1.835 Å, 49.69 deg, I 20
- 1.805 Å, 50.55 deg, I 31
- 1.458 Å, 63.84 deg, I 18
- 1.454 Å, 64.06 deg, I 35

# 3
Starting from a cell relaxed with PBE, the XRD peak list of Pm2SbAu3 was computed for Cu Kα.

Unit cell a=3.7121 b=4.6700 c=8.4023 alpha=90.00 beta=90.00 gamma=90.00
Fractional positions:
Pm  0.0000  0.0000  0.0000
Pm  0.0000  0.5000  0.4656
Sb  0.5000  0.5000  0.8154
Au  0.5000  0.0000  0.3170
Au  0.5000  0.0000  0.6431
Au  0.5000  0.5000  0.1470

Most intense lines, 2θ = 10–90°, in order of rising 2θ:
- 3.712 Å, 23.97 deg, I 21
- 2.782 Å, 32.18 deg, I 47
- 2.746 Å, 32.61 deg, I 100
- 2.402 Å, 37.44 deg, I 78
- 2.335 Å, 38.56 deg, I 37
- 2.017 Å, 44.95 deg, I 18
- 1.856 Å, 49.08 deg, I 19
- 1.788 Å, 51.07 deg, I 26
- 1.469 Å, 63.32 deg, I 34
- 1.454 Å, 64.06 deg, I 27

# 4
Starting from a cell relaxed with PBE, the XRD peak list of PmSbAu was computed for Cu Kα.

Unit cell a=4.1744 b=4.1744 c=9.0937 alpha=90.00 beta=90.00 gamma=90.00
Fractional positions:
Pm  0.0000  0.0000  0.0000
Pm  0.5000  0.5000  0.5000
Sb  0.0000  0.0000  0.3493
Sb  0.5000  0.5000  0.8493
Au  0.0000  0.0000  0.6659
Au  0.5000  0.5000  0.1659

Most intense lines, 2θ = 10–90°, in order of rising 2θ:
- 3.794 Å, 23.45 deg, I 8
- 2.952 Å, 30.28 deg, I 84
- 2.453 Å, 36.64 deg, I 100
- 2.087 Å, 43.35 deg, I 32
- 1.590 Å, 58.02 deg, I 53
- 1.476 Å, 62.98 deg, I 11
- 1.348 Å, 69.75 deg, I 14
- 1.320 Å, 71.46 deg, I 15
- 1.265 Å, 75.12 deg, I 12
- 1.226 Å, 77.90 deg, I 11

# 5
Starting from a cell relaxed with PBE, the XRD peak list of PmSc3Au2 was computed for Cu Kα.

Unit cell a=4.7407 b=8.5608 c=6.8765 alpha=90.00 beta=90.00 gamma=90.00
Fractional positions:
Pm  0.0000  0.0695  0.0000
Pm  0.0000  0.9305  0.5000
Sc  0.0000  0.3342  0.6359
Sc  0.0000  0.6658  0.1359
Sc  0.5000  0.1831  0.3328
Sc  0.5000  0.4365  0.9677
Sc  0.5000  0.5635  0.4677
Sc  0.5000  0.8169  0.8328
Au  0.0000  0.3584  0.2401
Au  0.0000  0.6416  0.7401
Au  0.5000  0.1601  0.7328
Au  0.5000  0.8399  0.2328

Most intense lines, 2θ = 10–90°, in order of rising 2θ:
- 3.634 Å, 24.50 deg, I 62
- 3.551 Å, 25.07 deg, I 86
- 2.884 Å, 31.01 deg, I 28
- 2.647 Å, 33.87 deg, I 100
- 2.445 Å, 36.76 deg, I 61
- 2.370 Å, 37.96 deg, I 49
- 2.021 Å, 44.86 deg, I 26
- 2.006 Å, 45.20 deg, I 27
- 1.992 Å, 45.53 deg, I 31
- 1.985 Å, 45.70 deg, I 25

# 6
Starting from a cell relaxed with PBE, the XRD peak list of Pm3Sc2Au3 was computed for Cu Kα.

Unit cell a=3.6316 b=5.1422 c=21.4632 alpha=90.00 beta=90.00 gamma=90.00
Fractional positions:
Pm  0.0000  0.0000  0.0000
Pm  0.0000  0.5000  0.1221
Pm  0.0000  0.5000  0.8779
Pm  0.5000  0.0000  0.3779
Pm  0.5000  0.0000  0.6221
Pm  0.5000  0.5000  0.5000
Sc  0.0000  0.0000  0.2344
Sc  0.0000  0.0000  0.7656
Sc  0.5000  0.5000  0.2656
Sc  0.5000  0.5000  0.7344
Au  0.0000  0.0000  0.5000
Au  0.0000  0.5000  0.3663
Au  0.0000  0.5000  0.6337
Au  0.5000  0.0000  0.1337
Au  0.5000  0.0000  0.8663
Au  0.5000  0.5000  0.0000

Most intense lines, 2θ = 10–90°, in order of rising 2θ:
- 2.683 Å, 33.40 deg, I 25
- 2.596 Å, 34.55 deg, I 100
- 2.571 Å, 34.90 deg, I 25
- 1.856 Å, 49.08 deg, I 17
- 1.816 Å, 50.25 deg, I 9
- 1.532 Å, 60.44 deg, I 16
- 1.504 Å, 61.68 deg, I 9
- 1.489 Å, 62.35 deg, I 18
- 1.483 Å, 62.63 deg, I 9
- 1.298 Å, 72.87 deg, I 11

# 7
Starting from a cell relaxed with PBE, the XRD peak list of PmSc2Au3 was computed for Cu Kα.

Unit cell a=3.4677 b=3.4677 c=10.6560 alpha=90.00 beta=90.00 gamma=90.00
Fractional positions:
Pm  0.0000  0.0000  0.0000
Sc  0.0000  0.0000  0.3419
Sc  0.0000  0.0000  0.6581
Au  0.5000  0.5000  0.1977
Au  0.5000  0.5000  0.5000
Au  0.5000  0.5000  0.8023

Most intense lines, 2θ = 10–90°, in order of rising 2θ:
- 3.468 Å, 25.69 deg, I 26
- 3.298 Å, 27.04 deg, I 10
- 2.906 Å, 30.76 deg, I 13
- 2.481 Å, 36.20 deg, I 100
- 2.452 Å, 36.65 deg, I 57
- 1.804 Å, 50.59 deg, I 10
- 1.734 Å, 52.80 deg, I 20
- 1.438 Å, 64.82 deg, I 11
- 1.421 Å, 65.70 deg, I 35
- 1.394 Å, 67.16 deg, I 10